[1]
# Ca6InAg
Simulated powder diffraction line list, CuKα. Input: DFT lattice parameters and positions (GGA-PBE).

Largest 10 diffraction maxima, by angle, 2θ = 5–70°:
- 9.39°, I 73
- 18.84°, I 13
- 30.06°, I 100
- 33.05°, I 46
- 34.43°, I 14
- 37.01°, I 24
- 45.18°, I 13
- 47.44°, I 16
- 51.41°, I 16
- 57.19°, I 29

Structural model:
```
data_Ca6InAg
_cell_length_a 10.172
_cell_length_b 10.172
_cell_length_c 10.172
_cell_angle_alpha 149.09
_cell_angle_beta 149.09
_cell_angle_gamma 44.27
_symmetry_space_group_name_H-M 'P 1'
_symmetry_Int_Tables_number 1
loop_
_symmetry_equiv_pos_as_xyz
'x,y,z'
loop_
_atom_site_label
_atom_site_type_symbol
_atom_site_fract_x
_atom_site_fract_y
_atom_site_fract_z
Ca1 Ca 0.097 0.597 0.500
Ca2 Ca 0.248 0.248 0.000
Ca3 Ca 0.403 0.903 0.500
Ca4 Ca 0.597 0.097 0.500
Ca5 Ca 0.752 0.752 0.000
Ca6 Ca 0.903 0.403 0.500
In1 In 0.000 0.000 0.000
Ag1 Ag 0.500 0.500 0.000
```


[2]
# CaIn8Ag4
Simulated powder diffraction line list, CuKα. Input: DFT lattice parameters and positions (GGA-PBE).

Largest 10 diffraction maxima, by angle, 2θ = 5–70°:
- 17.36°, I 15
- 17.48°, I 12
- 30.38°, I 26
- 35.18°, I 100
- 35.39°, I 43
- 39.48°, I 69
- 39.67°, I 68
- 57.40°, I 14
- 63.09°, I 15
- 63.21°, I 21

Structural model:
```
data_CaIn8Ag4
_cell_length_a 7.792
_cell_length_b 7.792
_cell_length_c 7.792
_cell_angle_alpha 98.09
_cell_angle_beta 98.09
_cell_angle_gamma 135.94
_symmetry_space_group_name_H-M 'P 1'
_symmetry_Int_Tables_number 1
loop_
_symmetry_equiv_pos_as_xyz
'x,y,z'
loop_
_atom_site_label
_atom_site_type_symbol
_atom_site_fract_x
_atom_site_fract_y
_atom_site_fract_z
Ca1 Ca 0.000 0.000 0.000
In1 In 0.000 0.347 0.347
In2 In 0.000 0.653 0.653
In3 In 0.288 0.500 0.788
In4 In 0.347 0.000 0.347
In5 In 0.500 0.288 0.788
In6 In 0.500 0.712 0.212
In7 In 0.653 0.000 0.653
In8 In 0.712 0.500 0.212
Ag1 Ag 0.000 0.000 0.500
Ag2 Ag 0.000 0.500 0.000
Ag3 Ag 0.500 0.000 0.000
Ag4 Ag 0.500 0.500 0.500
```


[3]
# Ca3In2Ag9
Simulated powder diffraction line list, CuKα. Input: DFT lattice parameters and positions (GGA-PBE).

Largest 10 diffraction maxima, by angle, 2θ = 5–70°:
- 18.14°, I 48
- 21.26°, I 31
- 32.78°, I 100
- 33.44°, I 43
- 35.95°, I 63
- 37.67°, I 35
- 38.35°, I 74
- 38.99°, I 43
- 42.15°, I 60
- 42.68°, I 64

Structural model:
```
data_Ca3In2Ag9
_cell_length_a 8.803
_cell_length_b 8.803
_cell_length_c 8.803
_cell_angle_alpha 149.07
_cell_angle_beta 112.51
_cell_angle_gamma 76.08
_symmetry_space_group_name_H-M 'P 1'
_symmetry_Int_Tables_number 1
loop_
_symmetry_equiv_pos_as_xyz
'x,y,z'
loop_
_atom_site_label
_atom_site_type_symbol
_atom_site_fract_x
_atom_site_fract_y
_atom_site_fract_z
Ca1 Ca 0.000 0.000 0.000
Ca2 Ca 0.295 0.295 0.000
Ca3 Ca 0.705 0.705 0.000
In1 In 0.306 0.500 0.806
In2 In 0.694 0.500 0.194
Ag1 Ag 0.029 0.669 0.360
Ag2 Ag 0.152 0.867 0.284
Ag3 Ag 0.309 0.669 0.640
Ag4 Ag 0.417 0.133 0.284
Ag5 Ag 0.500 0.000 0.500
Ag6 Ag 0.583 0.867 0.716
Ag7 Ag 0.691 0.331 0.360
Ag8 Ag 0.848 0.133 0.716
Ag9 Ag 0.971 0.331 0.640
```


[4]
# Ca2In5Ag3
Simulated powder diffraction line list, CuKα. Input: DFT lattice parameters and positions (GGA-PBE).

Largest 10 diffraction maxima, by angle, 2θ = 5–70°:
- 13.90°, I 29
- 21.14°, I 47
- 29.06°, I 22
- 31.71°, I 100
- 40.28°, I 72
- 40.52°, I 57
- 40.81°, I 31
- 42.58°, I 12
- 58.87°, I 18
- 60.24°, I 16

Structural model:
```
data_Ca2In5Ag3
_cell_length_a 9.496
_cell_length_b 9.496
_cell_length_c 9.496
_cell_angle_alpha 96.84
_cell_angle_beta 95.76
_cell_angle_gamma 141.32
_symmetry_space_group_name_H-M 'P 1'
_symmetry_Int_Tables_number 1
loop_
_symmetry_equiv_pos_as_xyz
'x,y,z'
loop_
_atom_site_label
_atom_site_type_symbol
_atom_site_fract_x
_atom_site_fract_y
_atom_site_fract_z
Ca1 Ca 0.240 0.132 0.372
Ca2 Ca 0.260 0.632 0.892
Ca3 Ca 0.740 0.368 0.108
Ca4 Ca 0.760 0.868 0.628
In1 In 0.150 0.392 0.542
In2 In 0.250 0.250 0.000
In3 In 0.250 0.507 0.257
In4 In 0.250 0.993 0.743
In5 In 0.350 0.892 0.242
In6 In 0.650 0.108 0.758
In7 In 0.750 0.007 0.257
In8 In 0.750 0.493 0.743
In9 In 0.750 0.750 0.000
In10 In 0.850 0.608 0.458
Ag1 Ag 0.139 0.872 0.011
Ag2 Ag 0.250 0.750 0.500
Ag3 Ag 0.361 0.372 0.732
Ag4 Ag 0.639 0.628 0.268
Ag5 Ag 0.750 0.250 0.500
Ag6 Ag 0.861 0.128 0.989
```


[5]
# Ca3In4Ag8
Simulated powder diffraction line list, CuKα. Input: DFT lattice parameters and positions (GGA-PBE).

Largest 10 diffraction maxima, by angle, 2θ = 5–70°:
- 12.77°, I 13
- 22.22°, I 15
- 33.59°, I 22
- 36.67°, I 100
- 38.42°, I 18
- 42.78°, I 13
- 43.30°, I 21
- 64.08°, I 10
- 66.04°, I 23
- 67.19°, I 9

Structural model:
```
data_Ca3In4Ag8
_cell_length_a 9.802
_cell_length_b 9.802
_cell_length_c 9.802
_cell_angle_alpha 60.00
_cell_angle_beta 60.00
_cell_angle_gamma 60.00
_symmetry_space_group_name_H-M 'P 1'
_symmetry_Int_Tables_number 1
loop_
_symmetry_equiv_pos_as_xyz
'x,y,z'
loop_
_atom_site_label
_atom_site_type_symbol
_atom_site_fract_x
_atom_site_fract_y
_atom_site_fract_z
Ca1 Ca 0.228 0.228 0.772
Ca2 Ca 0.228 0.772 0.228
Ca3 Ca 0.228 0.772 0.772
Ca4 Ca 0.772 0.228 0.228
Ca5 Ca 0.772 0.228 0.772
Ca6 Ca 0.772 0.772 0.228
In1 In 0.000 0.000 0.000
In2 In 0.000 0.000 0.500
In3 In 0.000 0.500 0.000
In4 In 0.000 0.500 0.500
In5 In 0.500 0.000 0.000
In6 In 0.500 0.000 0.500
In7 In 0.500 0.500 0.000
In8 In 0.500 0.500 0.500
Ag1 Ag 0.132 0.623 0.623
Ag2 Ag 0.166 0.166 0.166
Ag3 Ag 0.166 0.166 0.502
Ag4 Ag 0.166 0.502 0.166
Ag5 Ag 0.377 0.377 0.377
Ag6 Ag 0.377 0.377 0.868
Ag7 Ag 0.377 0.868 0.377
Ag8 Ag 0.498 0.834 0.834
Ag9 Ag 0.502 0.166 0.166
Ag10 Ag 0.623 0.132 0.623
Ag11 Ag 0.623 0.623 0.132
Ag12 Ag 0.623 0.623 0.623
Ag13 Ag 0.834 0.498 0.834
Ag14 Ag 0.834 0.834 0.498
Ag15 Ag 0.834 0.834 0.834
Ag16 Ag 0.868 0.377 0.377
```


[6]
# Ca3In5Ag2
Simulated powder diffraction line list, CuKα. Input: DFT lattice parameters and positions (GGA-PBE).

Largest 10 diffraction maxima, by angle, 2θ = 5–70°:
- 13.93°, I 27
- 20.19°, I 91
- 28.38°, I 39
- 30.11°, I 79
- 30.71°, I 74
- 38.41°, I 100
- 39.02°, I 57
- 39.51°, I 55
- 40.34°, I 55
- 58.73°, I 25

Structural model:
```
data_Ca3In5Ag2
_cell_length_a 9.726
_cell_length_b 9.726
_cell_length_c 9.726
_cell_angle_alpha 98.34
_cell_angle_beta 95.34
_cell_angle_gamma 139.62
_symmetry_space_group_name_H-M 'P 1'
_symmetry_Int_Tables_number 1
loop_
_symmetry_equiv_pos_as_xyz
'x,y,z'
loop_
_atom_site_label
_atom_site_type_symbol
_atom_site_fract_x
_atom_site_fract_y
_atom_site_fract_z
Ca1 Ca 0.130 0.736 0.866
Ca2 Ca 0.250 0.250 0.000
Ca3 Ca 0.370 0.236 0.605
Ca4 Ca 0.630 0.764 0.395
Ca5 Ca 0.750 0.750 0.000
Ca6 Ca 0.870 0.264 0.134
In1 In 0.004 0.250 0.754
In2 In 0.124 0.352 0.476
In3 In 0.250 0.750 0.500
In4 In 0.376 0.852 0.227
In5 In 0.496 0.250 0.246
In6 In 0.504 0.750 0.754
In7 In 0.624 0.148 0.773
In8 In 0.750 0.250 0.500
In9 In 0.876 0.648 0.524
In10 In 0.996 0.750 0.246
Ag1 Ag 0.136 0.141 0.277
Ag2 Ag 0.364 0.641 0.005
Ag3 Ag 0.636 0.359 0.995
Ag4 Ag 0.864 0.859 0.723
```


[7]
# Ca8InAg2
Simulated powder diffraction line list, CuKα. Input: DFT lattice parameters and positions (GGA-PBE).

Largest 10 diffraction maxima, by angle, 2θ = 5–70°:
- 18.02°, I 61
- 19.86°, I 47
- 20.40°, I 73
- 22.15°, I 50
- 29.28°, I 75
- 29.61°, I 51
- 31.76°, I 100
- 33.34°, I 86
- 33.97°, I 81
- 37.23°, I 40

Structural model:
```
data_Ca8InAg2
_cell_length_a 5.375
_cell_length_b 7.454
_cell_length_c 9.852
_cell_angle_alpha 106.71
_cell_angle_beta 105.72
_cell_angle_gamma 90.01
_symmetry_space_group_name_H-M 'P 1'
_symmetry_Int_Tables_number 1
loop_
_symmetry_equiv_pos_as_xyz
'x,y,z'
loop_
_atom_site_label
_atom_site_type_symbol
_atom_site_fract_x
_atom_site_fract_y
_atom_site_fract_z
Ca1 Ca 0.000 0.000 0.000
Ca2 Ca 0.055 0.572 0.110
Ca3 Ca 0.231 0.118 0.463
Ca4 Ca 0.361 0.836 0.721
Ca5 Ca 0.431 0.351 0.862
Ca6 Ca 0.621 0.247 0.244
Ca7 Ca 0.687 0.763 0.375
Ca8 Ca 0.824 0.502 0.647
In1 In 0.844 0.092 0.687
Ag1 Ag 0.209 0.510 0.419
Ag2 Ag 0.524 0.791 0.049
```


[8]
# Ca2In5Ag3
Simulated powder diffraction line list, CuKα. Input: DFT lattice parameters and positions (GGA-PBE).

Largest 10 diffraction maxima, by angle, 2θ = 5–70°:
- 17.43°, I 16
- 30.52°, I 17
- 31.96°, I 100
- 35.10°, I 19
- 38.21°, I 16
- 38.45°, I 43
- 40.96°, I 14
- 41.81°, I 21
- 42.67°, I 35
- 65.51°, I 18

Structural model:
```
data_Ca2In5Ag3
_cell_length_a 13.932
_cell_length_b 13.932
_cell_length_c 7.578
_cell_angle_alpha 90.00
_cell_angle_beta 90.00
_cell_angle_gamma 160.65
_symmetry_space_group_name_H-M 'P 1'
_symmetry_Int_Tables_number 1
loop_
_symmetry_equiv_pos_as_xyz
'x,y,z'
loop_
_atom_site_label
_atom_site_type_symbol
_atom_site_fract_x
_atom_site_fract_y
_atom_site_fract_z
Ca1 Ca 0.019 0.981 0.500
Ca2 Ca 0.323 0.677 0.573
Ca3 Ca 0.677 0.323 0.073
Ca4 Ca 0.981 0.019 0.000
In1 In 0.100 0.900 0.857
In2 In 0.207 0.793 0.373
In3 In 0.207 0.793 0.781
In4 In 0.377 0.623 0.017
In5 In 0.446 0.554 0.673
In6 In 0.554 0.446 0.173
In7 In 0.623 0.377 0.517
In8 In 0.793 0.207 0.281
In9 In 0.793 0.207 0.873
In10 In 0.900 0.100 0.357
Ag1 Ag 0.110 0.890 0.250
Ag2 Ag 0.273 0.727 0.079
Ag3 Ag 0.455 0.545 0.284
Ag4 Ag 0.545 0.455 0.784
Ag5 Ag 0.727 0.273 0.579
Ag6 Ag 0.890 0.110 0.750
```


[9]
# LiCaInAg3
Simulated powder diffraction line list, CuKα. Input: DFT lattice parameters and positions (GGA-PBE).

Largest 10 diffraction maxima, by angle, 2θ = 5–70°:
- 12.85°, I 69
- 21.54°, I 89
- 31.44°, I 88
- 32.62°, I 78
- 38.76°, I 44
- 38.92°, I 90
- 39.24°, I 40
- 39.90°, I 82
- 41.79°, I 100
- 58.66°, I 46

Structural model:
```
data_LiCaInAg3
_cell_length_a 7.511
_cell_length_b 7.511
_cell_length_c 6.249
_cell_angle_alpha 90.00
_cell_angle_beta 90.00
_cell_angle_gamma 133.02
_symmetry_space_group_name_H-M 'P 1'
_symmetry_Int_Tables_number 1
loop_
_symmetry_equiv_pos_as_xyz
'x,y,z'
loop_
_atom_site_label
_atom_site_type_symbol
_atom_site_fract_x
_atom_site_fract_y
_atom_site_fract_z
Li1 Li 0.097 0.903 0.750
Li2 Li 0.903 0.097 0.250
Ca1 Ca 0.311 0.689 0.750
Ca2 Ca 0.689 0.311 0.250
In1 In 0.349 0.651 0.250
In2 In 0.651 0.349 0.750
Ag1 Ag 0.140 0.860 0.250
Ag2 Ag 0.263 0.263 0.000
Ag3 Ag 0.263 0.263 0.500
Ag4 Ag 0.737 0.737 0.000
Ag5 Ag 0.737 0.737 0.500
Ag6 Ag 0.860 0.140 0.750
```


[10]
# Ca2MgIn6Ag
Simulated powder diffraction line list, CuKα. Input: DFT lattice parameters and positions (GGA-PBE).

Largest 10 diffraction maxima, by angle, 2θ = 5–70°:
- 14.22°, I 62
- 18.42°, I 49
- 21.82°, I 43
- 28.70°, I 44
- 30.82°, I 93
- 33.03°, I 100
- 38.10°, I 97
- 39.04°, I 64
- 48.60°, I 37
- 50.19°, I 39

Structural model:
```
data_Ca2MgIn6Ag
_cell_length_a 13.146
_cell_length_b 13.146
_cell_length_c 13.146
_cell_angle_alpha 32.11
_cell_angle_beta 32.11
_cell_angle_gamma 32.11
_symmetry_space_group_name_H-M 'P 1'
_symmetry_Int_Tables_number 1
loop_
_symmetry_equiv_pos_as_xyz
'x,y,z'
loop_
_atom_site_label
_atom_site_type_symbol
_atom_site_fract_x
_atom_site_fract_y
_atom_site_fract_z
Ca1 Ca 0.105 0.105 0.105
Ca2 Ca 0.280 0.280 0.280
Ca3 Ca 0.720 0.720 0.720
Ca4 Ca 0.895 0.895 0.895
Mg1 Mg 0.427 0.427 0.427
Mg2 Mg 0.573 0.573 0.573
In1 In 0.069 0.667 0.667
In2 In 0.225 0.225 0.648
In3 In 0.225 0.648 0.225
In4 In 0.333 0.333 0.931
In5 In 0.333 0.931 0.333
In6 In 0.352 0.775 0.775
In7 In 0.648 0.225 0.225
In8 In 0.667 0.069 0.667
In9 In 0.667 0.667 0.069
In10 In 0.775 0.352 0.775
In11 In 0.775 0.775 0.352
In12 In 0.931 0.333 0.333
Ag1 Ag 0.000 0.000 0.000
Ag2 Ag 0.500 0.500 0.500
```


[11]
# CaZnInAg2
Simulated powder diffraction line list, CuKα. Input: DFT lattice parameters and positions (GGA-PBE).

Largest 10 diffraction maxima, by angle, 2θ = 5–70°:
- 13.97°, I 30
- 24.29°, I 22
- 31.54°, I 22
- 33.64°, I 100
- 39.37°, I 32
- 40.68°, I 38
- 41.95°, I 52
- 47.52°, I 18
- 63.36°, I 15
- 64.29°, I 18

Structural model:
```
data_CaZnInAg2
_cell_length_a 7.006
_cell_length_b 7.006
_cell_length_c 7.006
_cell_angle_alpha 148.30
_cell_angle_beta 141.87
_cell_angle_gamma 50.40
_symmetry_space_group_name_H-M 'P 1'
_symmetry_Int_Tables_number 1
loop_
_symmetry_equiv_pos_as_xyz
'x,y,z'
loop_
_atom_site_label
_atom_site_type_symbol
_atom_site_fract_x
_atom_site_fract_y
_atom_site_fract_z
Ca1 Ca 0.000 0.000 0.000
Zn1 Zn 0.403 0.403 0.000
In1 In 0.241 0.741 0.500
Ag1 Ag 0.606 0.606 0.000
Ag2 Ag 0.784 0.284 0.500
```


[12]
# Ca6AgIr2
Simulated powder diffraction line list, CuKα. Input: DFT lattice parameters and positions (GGA-PBE).

Largest 10 diffraction maxima, by angle, 2θ = 5–70°:
- 13.02°, I 47
- 16.31°, I 40
- 18.44°, I 87
- 22.23°, I 69
- 26.28°, I 26
- 32.30°, I 32
- 33.78°, I 50
- 34.62°, I 100
- 37.41°, I 66
- 44.73°, I 42

Structural model:
```
data_Ca6AgIr2
_cell_length_a 8.706
_cell_length_b 8.706
_cell_length_c 8.706
_cell_angle_alpha 112.97
_cell_angle_beta 112.88
_cell_angle_gamma 102.77
_symmetry_space_group_name_H-M 'P 1'
_symmetry_Int_Tables_number 1
loop_
_symmetry_equiv_pos_as_xyz
'x,y,z'
loop_
_atom_site_label
_atom_site_type_symbol
_atom_site_fract_x
_atom_site_fract_y
_atom_site_fract_z
Ca1 Ca 0.016 0.841 0.175
Ca2 Ca 0.246 0.543 0.296
Ca3 Ca 0.246 0.950 0.704
Ca4 Ca 0.285 0.321 0.606
Ca5 Ca 0.285 0.679 0.965
Ca6 Ca 0.334 0.159 0.175
Ca7 Ca 0.666 0.841 0.825
Ca8 Ca 0.715 0.321 0.035
Ca9 Ca 0.715 0.679 0.394
Ca10 Ca 0.754 0.050 0.296
Ca11 Ca 0.754 0.457 0.704
Ca12 Ca 0.984 0.159 0.825
Ag1 Ag 0.000 0.500 0.500
Ag2 Ag 0.500 0.000 0.500
Ir1 Ir 0.000 0.194 0.194
Ir2 Ir 0.000 0.806 0.806
Ir3 Ir 0.378 0.378 0.000
Ir4 Ir 0.622 0.622 0.000
```